Calculated X-ray powder pattern of Mg3Ti2O7 for a wavelength of 1.5418 Å, from a crystal structure in the Materials Project, relaxed with GGA-PBE.
Neutral-atom scattering factors, no anomalous dispersion.

Atomic structure:
```
data_Mg3Ti2O7
_space_group_name_H-M_alt 'C m c 21'
_space_group_IT_number 36
_space_group_name_Hall 'C 2c -2'
_cell_length_a 17.8897
_cell_length_b 5.1992
_cell_length_c 5.3629
_cell_angle_alpha 90.00
_cell_angle_beta 90.00
_cell_angle_gamma 90.00
loop_
_atom_site_label
_atom_site_type_symbol
_atom_site_fract_x
_atom_site_fract_y
_atom_site_fract_z
Mg1 Mg 0.0000 0.2463 0.0000
Mg2 Mg 0.1942 0.2703 0.1106
Ti1 Ti 0.1055 0.2526 0.5598
O1 O 0.0000 0.1332 0.6024
O2 O 0.0801 0.4266 0.2194
O3 O 0.1295 0.0700 0.8545
O4 O 0.2064 0.3596 0.4883
```

Main lines, in order of rising 2θ (2θ = 10–80°):
| 2θ/deg | Rel. int. | (hkl) |
| --- | --- | --- |
| 19.9 | 33 | 4 0 0 |
| 24.4 | 34 | 1 1 1 |
| 33.4 | 41 | 0 0 2 |
| 34.5 | 32 | 0 2 0 |
| 34.7 | 100 | 5 1 1 |
| 39.3 | 18 | 7 1 0 |
| 48.8 | 40 | 0 2 2 |
| 51.1 | 22 | 10 0 0 |
| 60.6 | 23 | 5 1 3 |
| 62.0 | 43 | 5 3 1 |